Starting from a structure optimized by DFT (GGA-PBE), the powder diffraction line list of CdAg2TeO6 was computed for Cu Kα (λ = 1.5418 Å).
Intensities are scaled so that the largest is 100.

Structural model:
```
data_CdAg2TeO6
_chemical_formula_sum 'Cd3 Ag6 Te3 O18'
_cell_length_a 5.6225
_cell_length_b 5.6225
_cell_length_c 15.0484
_cell_angle_alpha 90.00
_cell_angle_beta 90.00
_cell_angle_gamma 120.00
_space_group_name_H-M_alt 'R 3'
_space_group_IT_number 146
_space_group_name_Hall 'R 3'
loop_
_atom_site_label
_atom_site_fract_x
_atom_site_fract_y
_atom_site_fract_z
Cd1 0.0000 0.0000 0.0000
Ag1 0.0000 0.0000 0.2070
Ag2 0.0000 0.0000 0.7305
Te1 0.0000 0.0000 0.5213
O1 0.0557 0.6679 0.2701
O2 0.0611 0.3537 0.1181
```

Peak list (8 most intense, 10 to 90 degrees two-theta, in order of rising 2θ)
Position (°2θ), I_rel
21.7, 28
30.0, 93
31.8, 100
44.3, 36
48.7, 39
55.6, 34
56.7, 28
64.9, 19